For LiFe8O12, a cell relaxed with GGA+U gives the calculated powder XRD pattern in this record (CuKα).

Main lines, in order of falling intensity (2θ = 10–90°):
| h k l | 2θ (°) | d/Å | Rel. int. |
| --- | --- | --- | --- |
| 1 -2 2 | 35.4 | 2.539 | 100.0 |
| 0 1 4 | 35.1 | 2.558 | 60.0 |
| -2 1 2 | 35.4 | 2.533 | 54.5 |
| 1 1 -4 | 30.0 | 2.975 | 48.1 |
| 2 -3 2 | 56.9 | 1.619 | 35.7 |
| 4 0 -2 | 62.5 | 1.486 | 34.6 |
| 1 -1 3 | 29.9 | 2.989 | 32.7 |
| 2 2 -2 | 43.0 | 2.101 | 27.3 |
| 2 2 4 | 62.0 | 1.497 | 17.4 |
| -2 2 6 | 62.2 | 1.493 | 17.1 |

Cell and atoms:
abc: 5.9405 5.9455 13.3955
angles: 102.66 102.53 90.07
Sites, in units of the cell vectors:
Li1 0.0000 0.0000 0.0000
Li2 0.5000 0.5000 0.5000
Fe1 0.0000 0.5000 0.0000
Fe2 0.0000 0.5000 0.5000
Fe3 0.1238 0.3688 0.2445
Fe4 0.1697 0.1655 0.8383
Fe5 0.2003 0.9571 0.4160
Fe6 0.3293 0.8349 0.1621
Fe7 0.3395 0.3305 0.6663
Fe8 0.3399 0.8333 0.6671
Fe9 0.4628 0.7077 0.9230
Fe10 0.5372 0.2923 0.0770
Fe11 0.6601 0.1667 0.3329
Fe12 0.6605 0.6695 0.3337
Fe13 0.6707 0.1651 0.8379
Fe14 0.7997 0.0429 0.5840
Fe15 0.8303 0.8345 0.1617
Fe16 0.8762 0.6312 0.7555
O1 0.0810 0.0567 0.1641
O2 0.0807 0.6067 0.1640
O3 0.0961 0.5819 0.6663
O4 0.1154 0.0905 0.6858
O5 0.2364 0.2513 0.9909
O6 0.2471 0.2674 0.5134
O7 0.2472 0.7493 0.0097
O8 0.2483 0.7442 0.5136
O9 0.4175 0.3924 0.8341
O10 0.4179 0.9374 0.8352
O11 0.4217 0.9101 0.3164
O12 0.4298 0.4137 0.3254
O13 0.5702 0.5863 0.6746
O14 0.5783 0.0899 0.6836
O15 0.5821 0.0626 0.1648
O16 0.5825 0.6076 0.1659
O17 0.7517 0.2558 0.4864
O18 0.7528 0.2507 0.9903
O19 0.7529 0.7326 0.4866
O20 0.7636 0.7487 0.0091
O21 0.8846 0.9095 0.3142
O22 0.9039 0.4181 0.3337
O23 0.9193 0.3933 0.8360
O24 0.9190 0.9433 0.8359